1.
# BaSb5
Computed XRD peak list, λ = 1.5418 Å (Cu Kα). Input: a crystal structure in Alexandria, relaxed with GGA-PBE.
Neutral-atom scattering factors, no anomalous dispersion.

Largest 10 diffraction maxima, in order of rising 2θ, 2θ from 15° to 90°:
3.429 Å, I = 27.3, hkl 1 1 0
2.970 Å, I = 11.1, hkl 2 0 0
2.782 Å, I = 100.0, hkl 1 1 1
2.520 Å, I = 11.8, hkl 2 0 1
2.380 Å, I = 17.8, hkl 0 0 2
1.980 Å, I = 14.3, hkl 3 0 0
1.955 Å, I = 11.1, hkl 1 1 2
1.557 Å, I = 11.5, hkl 3 1 1
1.522 Å, I = 12.1, hkl 3 0 2
1.440 Å, I = 13.0, hkl 1 1 3

Cell and atoms:
Unit cell a=6.8586 b=6.8586 c=4.7595 alpha=90.00 beta=90.00 gamma=120.00
Space group P-62m (No. 189)
Unique sites:
Ba  0.0000  0.0000  0.0000 x1
Sb  0.0000  0.5854  0.5000 x3
Sb  0.3333  0.6667  0.0000 x2

---

2.
# BeZnH2
Computed XRD peak list, λ = 1.5418 Å (Cu Kα). Input: a crystal structure in Alexandria, relaxed with GGA-PBE.
Neutral-atom scattering factors, no anomalous dispersion.

Largest 10 diffraction maxima, in order of rising 2θ, 2θ from 15° to 90°:
3.968 Å, I = 77.1, hkl 1 0 1
2.430 Å, I = 100.0, hkl 2 0 0
2.074 Å, I = 31.2, hkl 2 1 1
2.069 Å, I = 15.5, hkl 1 0 3
1.720 Å, I = 10.6, hkl 2 2 0
1.577 Å, I = 17.1, hkl 3 0 1
1.404 Å, I = 21.8, hkl 3 1 2
1.402 Å, I = 10.8, hkl 2 0 4
1.324 Å, I = 9.6, hkl 3 2 1
1.162 Å, I = 7.8, hkl 4 1 1

Cell and atoms:
Unit cell a=4.8649 b=4.8649 c=6.8593 alpha=90.00 beta=90.00 gamma=90.00
Space group I4_1/amd (No. 141, origin choice 2)
Unique sites:
Be  0.0000  0.2500  0.3750 x4
Zn  0.0000  0.2500  0.8750 x4
H  0.0000  0.0000  0.5000 x8

---

3.
# NpSn2Au4
Computed XRD peak list, λ = 1.5418 Å (Cu Kα). Input: a crystal structure in Alexandria, relaxed with GGA-PBE.
Neutral-atom scattering factors, no anomalous dispersion.

Largest 10 diffraction maxima, in order of rising 2θ, 2θ from 15° to 90°:
4.230 Å, I = 22.3, hkl 1 -1 0
2.775 Å, I = 92.8, hkl -1 1 2
2.545 Å, I = 100.0, hkl 1 1 -1
2.495 Å, I = 24.3, hkl 0 1 2
2.446 Å, I = 72.4, hkl 1 0 2
2.428 Å, I = 66.8, hkl 2 -1 0
2.411 Å, I = 56.8, hkl 1 -2 1
2.298 Å, I = 56.4, hkl 0 1 -3
1.945 Å, I = 31.8, hkl 0 2 1
1.814 Å, I = 29.6, hkl 2 0 -3

Cell and atoms:
Unit cell a=4.9230 b=4.9694 c=7.4018 alpha=96.30 beta=99.41 gamma=117.82
Space group P-1 (No. 2)
Unique sites:
Np  0.0000  0.0000  0.0000 x1
Sn  0.4350  0.7767  0.2470 x2
Au  0.1773  0.2462  0.4223 x2
Au  0.2553  0.5868  0.8107 x2

---

4.
# SmThSbN
Computed XRD peak list, λ = 1.5418 Å (Cu Kα). Input: a crystal structure in Alexandria, relaxed with GGA-PBE.
Neutral-atom scattering factors, no anomalous dispersion.

Largest 10 diffraction maxima, in order of rising 2θ, 2θ from 15° to 90°:
2.968 Å, I = 100.0, hkl 0 1 3
2.871 Å, I = 93.0, hkl 1 0 3
2.731 Å, I = 81.4, hkl 1 1 0
2.227 Å, I = 17.4, hkl 0 0 6
2.115 Å, I = 14.0, hkl 1 1 4
1.990 Å, I = 18.3, hkl 0 2 0
1.878 Å, I = 15.3, hkl 2 0 0
1.726 Å, I = 35.6, hkl 1 1 6
1.636 Å, I = 38.0, hkl 1 2 3
1.587 Å, I = 31.6, hkl 2 1 3

Cell and atoms:
Unit cell a=3.7551 b=3.9795 c=13.3638 alpha=90.00 beta=90.00 gamma=90.00
Space group Imm2 (No. 44)
Unique sites:
Sm  0.0000  0.0000  0.0000 x2
Th  0.0000  0.0000  0.6986 x2
Sb  0.0000  0.0000  0.3565 x2
N  0.0000  0.5000  0.6104 x2